Theoretical powder XRD pattern
Compound: Sr6Tl2PtO
Radiation: Cu Kα (λ = 1.5418 Å)
Structure: a GGA-PBE-relaxed structure

Principal peaks in the range 5 to 70 degrees two-theta, low angle first:
| index | d_spacing | 2theta | I (rel.) |
| --- | --- | --- | --- |
| 2 0 0 | 3.922 | 22.67 | 91 |
| 2 2 0 | 3.202 | 27.86 | 100 |
| 2 0 2 | 2.777 | 32.24 | 86 |
| 0 4 0 | 2.766 | 32.37 | 42 |
| 3 2 1 | 2.264 | 39.81 | 41 |
| 4 0 0 | 1.964 | 46.23 | 31 |
| 2 4 2 | 1.960 | 46.33 | 61 |
| 4 4 0 | 1.601 | 57.57 | 32 |

Structural model:
Cell: 7.854 11.063 7.855 Å, 90.00 90.00 90.00°
Positions (direct):
1 Sr 0.012 0.250 0.013
2 Sr 0.013 0.250 0.488
3 Sr 0.250 0.013 0.250
4 Sr 0.250 0.487 0.250
5 Sr 0.487 0.250 0.488
6 Sr 0.488 0.250 0.013
7 Sr 0.512 0.750 0.987
8 Sr 0.513 0.750 0.512
9 Sr 0.750 0.513 0.750
10 Sr 0.750 0.987 0.750
11 Sr 0.987 0.750 0.512
12 Sr 0.988 0.750 0.987
13 Tl 0.250 0.000 0.750
14 Tl 0.250 0.500 0.750
15 Tl 0.750 0.000 0.250
16 Tl 0.750 0.500 0.250
17 Pt 0.250 0.750 0.250
18 Pt 0.750 0.250 0.750
19 O 0.250 0.250 0.250
20 O 0.750 0.750 0.750